(1)
# Y6HoEr12
Theoretical XRD peak list, copper Kα. Input: a structure optimized by DFT (GGA-PBE).
No peak broadening, texture or thermal motion is included.

Atomic structure:
Unit cell a=13.0694 b=13.0694 c=12.5438 alpha=90.00 beta=90.00 gamma=120.00
Space group R-3m (No. 166, hexagonal axes)
Asymmetric unit:
Y  0.0378  0.5189  0.1203 x18
Ho  0.0000  0.0000  0.5000 x3
Er  0.0000  0.2564  0.0000 x18
Er  0.0911  0.1822  0.7636 x18

Largest 12 diffraction maxima, in order of rising 2θ, 2θ = 10–90°:
- 17.19 deg, 5.159 Å, rel. 208
- 25.28 deg, 3.523 Å, rel. 193
- 29.33 deg, 3.045 Å, rel. 205
- 29.56 deg, 3.022 Å, rel. 442
- 31.91 deg, 2.804 Å, rel. 1000
- 32.44 deg, 2.760 Å, rel. 793
- 34.80 deg, 2.578 Å, rel. 570
- 35.30 deg, 2.543 Å, rel. 128
- 49.87 deg, 1.829 Å, rel. 168
- 56.31 deg, 1.634 Å, rel. 225
- 57.60 deg, 1.600 Å, rel. 228
- 86.02 deg, 1.130 Å, rel. 146

(2)
# YHo8Er4
Theoretical XRD peak list, copper Kα. Input: a structure optimized by DFT (GGA-PBE).
No peak broadening, texture or thermal motion is included.

Atomic structure:
Unit cell a=7.2188 b=7.2188 c=27.1091 alpha=90.00 beta=90.00 gamma=120.00
Space group R-3m (No. 166, hexagonal axes)
Asymmetric unit:
Y  0.0000  0.0000  0.0000 x3
Ho  0.0000  0.0000  0.2839 x6
Ho  0.0362  0.5181  0.2670 x18
Er  0.0000  0.0000  0.5000 x3
Er  0.0000  0.5000  0.5000 x9

Largest 12 diffraction maxima, in order of rising 2θ, 2θ = 10–90°:
- 28.75 deg, 3.105 Å, rel. 213
- 29.32 deg, 3.046 Å, rel. 75
- 29.66 deg, 3.012 Å, rel. 336
- 31.52 deg, 2.838 Å, rel. 1000
- 33.08 deg, 2.708 Å, rel. 472
- 39.21 deg, 2.298 Å, rel. 296
- 50.58 deg, 1.805 Å, rel. 303
- 52.77 deg, 1.735 Å, rel. 186
- 59.73 deg, 1.548 Å, rel. 243
- 60.82 deg, 1.523 Å, rel. 135
- 65.77 deg, 1.420 Å, rel. 119
- 82.96 deg, 1.164 Å, rel. 95

(3)
# Y12Ho5Er
Theoretical XRD peak list, copper Kα. Input: a structure optimized by DFT (GGA-PBE).
No peak broadening, texture or thermal motion is included.

Atomic structure:
Unit cell a=10.663 b=5.023 c=10.673 alpha=90.00 beta=90.12 gamma=90.00
Space group P2/m (No. 10)
Asymmetric unit:
Y  0.001  0.000  0.168 x2
Y  0.165  0.500  0.665 x2
Y  0.168  0.500  0.001 x2
Y  0.332  0.000  0.499 x2
Y  0.334  0.000  0.834 x2
Y  0.499  0.500  0.332 x2
Ho  0.167  0.500  0.333 x2
Ho  0.333  0.000  0.167 x2
Ho  0.500  0.500  0.000 x1
Er  0.000  0.000  0.500 x1

Largest 12 diffraction maxima, in order of rising 2θ, 2θ = 10–90°:
- 11.74 deg, 7.536 Å, rel. 101
- 25.74 deg, 3.461 Å, rel. 65
- 30.81 deg, 2.902 Å, rel. 1000
- 35.72 deg, 2.514 Å, rel. 502
- 51.41 deg, 1.777 Å, rel. 351
- 61.07 deg, 1.517 Å, rel. 138
- 61.18 deg, 1.515 Å, rel. 275
- 64.18 deg, 1.451 Å, rel. 119
- 83.86 deg, 1.154 Å, rel. 112
- 83.96 deg, 1.153 Å, rel. 56
- 86.49 deg, 1.125 Å, rel. 53
- 86.65 deg, 1.124 Å, rel. 78

(4)
# YHo2Er9
Theoretical XRD peak list, copper Kα. Input: a structure optimized by DFT (GGA-PBE).
No peak broadening, texture or thermal motion is included.

Atomic structure:
Unit cell a=11.1017 b=11.1017 c=3.4759 alpha=90.00 beta=90.00 gamma=120.00
Space group P6/mmm (No. 191)
Asymmetric unit:
Y  0.0000  0.0000  0.0000 x1
Ho  0.3333  0.6667  0.0000 x2
Er  0.0000  0.5000  0.0000 x3
Er  0.1770  0.3540  0.5000 x6

Largest 12 diffraction maxima, in order of rising 2θ, 2θ = 10–90°:
- 30.34 deg, 2.946 Å, rel. 221
- 31.77 deg, 2.817 Å, rel. 504
- 32.25 deg, 2.775 Å, rel. 1000
- 35.75 deg, 2.512 Å, rel. 263
- 38.20 deg, 2.356 Å, rel. 130
- 45.90 deg, 1.977 Å, rel. 171
- 50.83 deg, 1.796 Å, rel. 96
- 57.21 deg, 1.610 Å, rel. 173
- 57.52 deg, 1.602 Å, rel. 174
- 63.12 deg, 1.473 Å, rel. 293
- 67.49 deg, 1.388 Å, rel. 102
- 81.75 deg, 1.178 Å, rel. 128

(5)
# YHoErZn
Theoretical XRD peak list, copper Kα. Input: a structure optimized by DFT (GGA-PBE).
No peak broadening, texture or thermal motion is included.

Atomic structure:
Unit cell a=3.553 b=3.553 c=8.579 alpha=90.00 beta=90.00 gamma=90.00
Space group P4mm (No. 99)
Asymmetric unit:
Y  0.000  0.000  0.000 x1
Ho  0.500  0.500  0.297 x1
Er  0.000  0.000  0.587 x1
Zn  0.500  0.500  0.789 x1

Largest 12 diffraction maxima, in order of rising 2θ, 2θ = 10–90°:
- 10.31 deg, 8.579 Å, rel. 104
- 27.17 deg, 3.283 Å, rel. 233
- 31.28 deg, 2.860 Å, rel. 107
- 32.73 deg, 2.736 Å, rel. 1000
- 35.74 deg, 2.512 Å, rel. 459
- 42.13 deg, 2.145 Å, rel. 77
- 48.22 deg, 1.887 Å, rel. 129
- 51.44 deg, 1.776 Å, rel. 161
- 56.41 deg, 1.631 Å, rel. 131
- 59.86 deg, 1.545 Å, rel. 101
- 62.32 deg, 1.490 Å, rel. 309
- 82.79 deg, 1.166 Å, rel. 82

(6)
# HoEr3Zn4
Theoretical XRD peak list, copper Kα. Input: a structure optimized by DFT (GGA-PBE).
No peak broadening, texture or thermal motion is included.

Atomic structure:
Unit cell a=4.996 b=4.996 c=7.117 alpha=90.00 beta=90.00 gamma=90.00
Space group P4/mmm (No. 123)
Asymmetric unit:
Ho  0.000  0.000  0.000 x1
Er  0.000  0.000  0.500 x1
Er  0.500  0.500  0.000 x1
Er  0.500  0.500  0.500 x1
Zn  0.000  0.500  0.251 x4

Largest 12 diffraction maxima, in order of rising 2θ, 2θ = 10–90°:
- 25.02 deg, 3.559 Å, rel. 97
- 25.21 deg, 3.533 Å, rel. 190
- 35.82 deg, 2.507 Å, rel. 1000
- 35.95 deg, 2.498 Å, rel. 495
- 44.30 deg, 2.045 Å, rel. 87
- 51.35 deg, 1.779 Å, rel. 89
- 51.76 deg, 1.766 Å, rel. 174
- 58.37 deg, 1.581 Å, rel. 80
- 64.27 deg, 1.449 Å, rel. 179
- 64.54 deg, 1.444 Å, rel. 353
- 75.90 deg, 1.254 Å, rel. 109
- 87.23 deg, 1.118 Å, rel. 156